The following is a calculated X-ray powder pattern of V3HPb5O13. It was derived from a DFT-relaxed cell (PBE+U, Alexandria), using λ = 1.5418 Å (Cu Kα).
Intensities are scaled so that the largest is 1000.

Main lines, in order of falling intensity (2θ = 10–90°):
2θ/deg	d_spacing	I (rel.)	(hkl)
28.7	3.112	1000	2 1 1
29.3	3.045	818	1 1 2
29.6	3.017	502	3 0 0
26.0	3.421	414	2 1 0
25.7	3.462	375	1 0 2
42.2	2.143	352	2 2 2
46.9	1.937	338	4 0 2
44.9	2.017	331	1 2 3
19.6	4.525	307	2 0 0
20.7	4.286	296	1 1 1

Atomic structure:
a b c (Å): 10.4506 10.4506 7.4942
angles (deg): 90.00 90.00 120.00
Sites, in units of the cell vectors:
V 0.0284 0.4035 0.0000
V 0.3751 0.9716 0.0000
V 0.4035 0.3751 0.5000
V 0.5965 0.6249 0.0000
V 0.6249 0.0284 0.5000
V 0.9716 0.5965 0.5000
H 0.0000 0.0000 0.1794
H 0.0000 0.0000 0.6794
Pb 0.0162 0.7608 0.0069
Pb 0.2392 0.2553 0.0069
Pb 0.2553 0.0162 0.5069
Pb 0.3333 0.6667 0.2589
Pb 0.3333 0.6667 0.7413
Pb 0.6667 0.3333 0.2413
Pb 0.6667 0.3333 0.7589
Pb 0.7447 0.9838 0.0069
Pb 0.7608 0.7447 0.5069
Pb 0.9838 0.2392 0.5069
O 0.0000 0.0000 0.0489
O 0.0000 0.0000 0.5489
O 0.0840 0.3423 0.8149
O 0.0898 0.3455 0.1824
O 0.1271 0.5979 0.9998
O 0.1619 0.6632 0.5024
O 0.2557 0.9102 0.1824
O 0.2583 0.9160 0.8149
O 0.3368 0.4987 0.5024
O 0.3423 0.2583 0.3149
O 0.3455 0.2557 0.6824
O 0.4021 0.5292 0.9998
O 0.4708 0.8729 0.9998
O 0.4987 0.1619 0.0024
O 0.5013 0.8381 0.5024
O 0.5292 0.1271 0.4998
O 0.5979 0.4708 0.4998
O 0.6545 0.7443 0.1824
O 0.6577 0.7417 0.8149
O 0.6632 0.5013 0.0024
O 0.7417 0.0840 0.3149
O 0.7443 0.0898 0.6824
O 0.8381 0.3368 0.0024
O 0.8729 0.4021 0.4998
O 0.9102 0.6545 0.6824
O 0.9160 0.6577 0.3149